The following is a computed powder X-ray diffraction pattern of K3CaNp2Te6. It was derived from a DFT-relaxed cell (GGA-PBE, Alexandria), using Cu Kα X-rays.
No peak broadening, texture or thermal motion is included.

Structural model:
a = 7.909 Å, b = 13.697 Å, c = 8.606 Å
α = 90.00°, β = 107.84°, γ = 90.00°
Space group C2/m (No. 12)
Asymmetric unit:
K 0.000 0.000 0.000
K 0.000 0.337 0.000
Ca 0.000 0.500 0.500
Np 0.000 0.167 0.500
Te 0.225 0.000 0.708
Te 0.242 0.328 0.709

Principal peaks in the range 2θ from 15° to 90°, by angle:
| hkl | 2θ (°) | d [Å] | intensity |
| --- | --- | --- | --- |
| 1 3 1 | 26.8 | 3.325 | 100 |
| 2 0 -3 | 34.2 | 2.626 | 21 |
| 2 0 2 | 37.1 | 2.426 | 35 |
| 0 6 0 | 39.5 | 2.283 | 37 |
| 4 0 0 | 48.4 | 1.882 | 20 |
| 4 6 0 | 64.1 | 1.452 | 16 |

The following is a computed powder X-ray diffraction pattern of K2CaO6. It was derived from a DFT-relaxed cell (GGA-PBE, Alexandria), using Cu Kα X-rays.
No peak broadening, texture or thermal motion is included.

Structural model:
a = 5.6257 Å, b = 5.6257 Å, c = 5.3600 Å
α = 90.00°, β = 90.00°, γ = 120.00°
Space group P-31m (No. 162)
Asymmetric unit:
K 0.3333 0.6667 0.0000
Ca 0.0000 0.0000 0.5000
O 0.0000 0.4564 0.6203

Principal peaks in the range 2θ from 15° to 90°, by angle:
| hkl | 2θ (°) | d [Å] | intensity |
| --- | --- | --- | --- |
| 1 0 1 | 24.7 | 3.605 | 69 |
| 1 1 0 | 31.8 | 2.813 | 37 |
| 1 1 1 | 36.1 | 2.491 | 32 |
| 2 0 0 | 36.9 | 2.436 | 26 |
| 2 0 1 | 40.7 | 2.218 | 100 |
| 2 -1 2 | 46.8 | 1.940 | 47 |

The following is a computed powder X-ray diffraction pattern of K3CaOs2O8. It was derived from a DFT-relaxed cell (GGA-PBE, Alexandria), using Cu Kα X-rays.
No peak broadening, texture or thermal motion is included.

Structural model:
a = 6.0716 Å, b = 6.0716 Å, c = 7.8112 Å
α = 90.00°, β = 90.00°, γ = 120.00°
Space group P-3m1 (No. 164)
Asymmetric unit:
K 0.0000 0.0000 0.0000
K 0.3333 0.6667 0.6519
Ca 0.0000 0.0000 0.5000
Os 0.3333 0.6667 0.2116
O 0.1756 0.3512 0.3184
O 0.3333 0.6667 0.9836

Principal peaks in the range 2θ from 15° to 90°, by angle:
| hkl | 2θ (°) | d [Å] | intensity |
| --- | --- | --- | --- |
| 1 0 0 | 16.9 | 5.258 | 21 |
| 1 0 1 | 20.4 | 4.362 | 100 |
| 0 1 2 | 28.5 | 3.135 | 50 |
| 1 1 0 | 29.4 | 3.036 | 73 |
| 2 0 2 | 41.4 | 2.181 | 30 |
| 2 1 1 | 47.2 | 1.926 | 22 |

The following is a computed powder X-ray diffraction pattern of KCa2OsO6. It was derived from a DFT-relaxed cell (GGA-PBE, Alexandria), using Cu Kα X-rays.
No peak broadening, texture or thermal motion is included.

Structural model:
a = 10.499 Å, b = 5.950 Å, c = 5.742 Å
α = 90.00°, β = 119.52°, γ = 90.00°
Space group C2/m (No. 12)
Asymmetric unit:
K 0.000 0.000 0.000
Ca 0.248 0.500 0.309
Os 0.000 0.500 0.500
O 0.097 0.274 0.403
O 0.159 0.500 0.850

Principal peaks in the range 2θ from 15° to 90°, by angle:
| hkl | 2θ (°) | d [Å] | intensity |
| --- | --- | --- | --- |
| 0 0 1 | 17.8 | 4.990 | 100 |
| 1 1 -1 | 21.5 | 4.128 | 32 |
| 1 1 1 | 28.5 | 3.133 | 49 |
| 3 1 -1 | 29.8 | 2.997 | 57 |
| 0 2 0 | 30.0 | 2.975 | 21 |
| 2 2 -2 | 43.9 | 2.064 | 18 |

The following is a computed powder X-ray diffraction pattern of K4CaOs3O12. It was derived from a DFT-relaxed cell (GGA-PBE, Alexandria), using Cu Kα X-rays.
No peak broadening, texture or thermal motion is included.

Structural model:
a = 8.088 Å, b = 8.088 Å, c = 8.088 Å
α = 90.00°, β = 90.00°, γ = 90.00°
Space group Im-3m (No. 229)
Asymmetric unit:
K 0.250 0.250 0.250
Ca 0.000 0.000 0.000
Os 0.000 0.000 0.500
O 0.000 0.000 0.273
O 0.000 0.250 0.500

Principal peaks in the range 2θ from 15° to 90°, by angle:
| hkl | 2θ (°) | d [Å] | intensity |
| --- | --- | --- | --- |
| 1 1 0 | 15.5 | 5.719 | 25 |
| 2 0 0 | 22.0 | 4.044 | 63 |
| 2 2 0 | 31.3 | 2.860 | 100 |
| 4 0 0 | 44.8 | 2.022 | 33 |
| 4 2 0 | 50.5 | 1.809 | 27 |
| 4 2 2 | 55.7 | 1.651 | 39 |

The following is a computed powder X-ray diffraction pattern of K2CaP2O7. It was derived from a DFT-relaxed cell (GGA-PBE, Alexandria), using Cu Kα X-rays.
No peak broadening, texture or thermal motion is included.

Structural model:
a = 9.917 Å, b = 5.758 Å, c = 14.449 Å
α = 90.00°, β = 117.46°, γ = 90.00°
Space group P2_1/c (No. 14)
Asymmetric unit:
K 0.009 0.238 0.135
K 0.465 0.234 0.322
Ca 0.268 0.240 0.519
P 0.171 0.745 0.142
P 0.321 0.724 0.374
O 0.000 0.240 0.430
O 0.181 0.709 0.758
O 0.250 0.513 0.146
O 0.250 0.545 0.623
O 0.286 0.024 0.894
O 0.301 0.596 0.944
O 0.470 0.745 0.366

Principal peaks in the range 2θ from 15° to 90°, by angle:
| hkl | 2θ (°) | d [Å] | intensity |
| --- | --- | --- | --- |
| 0 0 4 | 27.8 | 3.205 | 39 |
| 1 1 -4 | 29.3 | 3.047 | 90 |
| 2 0 2 | 29.4 | 3.033 | 45 |
| 0 2 0 | 31.1 | 2.879 | 64 |
| 3 1 -2 | 31.2 | 2.867 | 100 |
| 2 2 -4 | 40.8 | 2.213 | 43 |